(1)
Sr3Cd6Ga2Ag: computed powder X-ray diffraction pattern (copper Kα), based on the PBE geometry in Alexandria.
Intensities are scaled so that the largest is 100.

Atomic structure:
Cell: 5.910 5.910 10.928 Å, 90.00 90.00 120.00°
Atoms (fractional coordinates):
Sr 0.000 0.000 0.000
Sr 0.333 0.667 0.576
Sr 0.667 0.333 0.424
Cd 0.169 0.337 0.268
Cd 0.169 0.831 0.268
Cd 0.337 0.169 0.732
Cd 0.663 0.831 0.268
Cd 0.831 0.169 0.732
Cd 0.831 0.663 0.732
Ga 0.333 0.667 0.891
Ga 0.667 0.333 0.109
Ag 0.000 0.000 0.500

Largest 12 diffraction maxima, low angle first, 10° ≤ 2θ ≤ 90°:
5.464 Å, 2θ 16.22, intensity 25
2.968 Å, 2θ 30.11, intensity 62
2.732 Å, 2θ 32.78, intensity 16
2.599 Å, 2θ 34.51, intensity 63
2.492 Å, 2θ 36.05, intensity 100
2.410 Å, 2θ 37.31, intensity 31
2.317 Å, 2θ 38.86, intensity 35
1.708 Å, 2θ 53.65, intensity 25
1.662 Å, 2θ 55.27, intensity 18
1.579 Å, 2θ 58.46, intensity 17
1.484 Å, 2θ 62.60, intensity 21
1.477 Å, 2θ 62.91, intensity 25

(2)
TlCdGaAg: computed powder X-ray diffraction pattern (copper Kα), based on the PBE geometry in Alexandria.
Intensities are scaled so that the largest is 100.

Atomic structure:
Cell: 7.120 7.120 7.120 Å, 90.00 90.00 90.00°
Atoms (fractional coordinates):
Tl 0.000 0.000 0.000
Tl 0.000 0.500 0.500
Tl 0.500 0.000 0.500
Tl 0.500 0.500 0.000
Cd 0.000 0.000 0.500
Cd 0.000 0.500 0.000
Cd 0.500 0.000 0.000
Cd 0.500 0.500 0.500
Ga 0.250 0.250 0.750
Ga 0.250 0.750 0.250
Ga 0.750 0.250 0.250
Ga 0.750 0.750 0.750
Ag 0.250 0.250 0.250
Ag 0.250 0.750 0.750
Ag 0.750 0.250 0.750
Ag 0.750 0.750 0.250

Largest 12 diffraction maxima, low angle first, 10° ≤ 2θ ≤ 90°:
4.110 Å, 2θ 21.62, intensity 8
3.560 Å, 2θ 25.01, intensity 8
2.517 Å, 2θ 35.67, intensity 100
2.147 Å, 2θ 42.09, intensity 4
2.055 Å, 2θ 44.06, intensity 2
1.780 Å, 2θ 51.33, intensity 17
1.633 Å, 2θ 56.33, intensity 2
1.592 Å, 2θ 57.93, intensity 3
1.453 Å, 2θ 64.07, intensity 35
1.259 Å, 2θ 75.55, intensity 11
1.187 Å, 2θ 81.04, intensity 2
1.126 Å, 2θ 86.45, intensity 16

(3)
ZnCd2Ga2Ag5: computed powder X-ray diffraction pattern (copper Kα), based on the PBE geometry in Alexandria.
Intensities are scaled so that the largest is 100.

Atomic structure:
Cell: 10.202 10.202 3.650 Å, 90.00 90.00 90.00°
Atoms (fractional coordinates):
Zn 0.000 0.000 0.000
Zn 0.500 0.500 0.000
Cd 0.169 0.331 0.000
Cd 0.331 0.831 0.000
Cd 0.669 0.169 0.000
Cd 0.831 0.669 0.000
Ga 0.143 0.643 0.000
Ga 0.357 0.143 0.000
Ga 0.643 0.857 0.000
Ga 0.857 0.357 0.000
Ag 0.000 0.500 0.500
Ag 0.021 0.800 0.500
Ag 0.200 0.021 0.500
Ag 0.300 0.521 0.500
Ag 0.479 0.300 0.500
Ag 0.500 0.000 0.500
Ag 0.521 0.700 0.500
Ag 0.700 0.479 0.500
Ag 0.800 0.979 0.500
Ag 0.979 0.200 0.500

Largest 12 diffraction maxima, low angle first, 10° ≤ 2θ ≤ 90°:
2.968 Å, 2θ 30.11, intensity 19
2.565 Å, 2θ 34.98, intensity 35
2.474 Å, 2θ 36.31, intensity 15
2.417 Å, 2θ 37.20, intensity 100
2.405 Å, 2θ 37.40, intensity 53
2.091 Å, 2θ 43.28, intensity 38
1.825 Å, 2θ 49.98, intensity 22
1.804 Å, 2θ 50.61, intensity 9
1.700 Å, 2θ 53.92, intensity 18
1.454 Å, 2θ 64.06, intensity 21
1.258 Å, 2θ 75.62, intensity 22
1.244 Å, 2θ 76.59, intensity 12

(4)
ZnCdGaAg2: computed powder X-ray diffraction pattern (copper Kα), based on the PBE geometry in Alexandria.
Intensities are scaled so that the largest is 100.

Atomic structure:
Cell: 4.665 4.665 5.304 Å, 90.00 90.00 120.00°
Atoms (fractional coordinates):
Zn 0.000 0.000 0.000
Cd 0.667 0.333 0.349
Ga 0.333 0.667 0.717
Ag 0.000 0.000 0.510
Ag 0.333 0.667 0.204

Largest 12 diffraction maxima, low angle first, 10° ≤ 2θ ≤ 90°:
5.304 Å, 2θ 16.72, intensity 27
4.040 Å, 2θ 22.00, intensity 9
3.214 Å, 2θ 27.76, intensity 27
2.333 Å, 2θ 38.60, intensity 100
2.217 Å, 2θ 40.70, intensity 89
2.135 Å, 2θ 42.33, intensity 15
1.607 Å, 2θ 57.34, intensity 31
1.347 Å, 2θ 69.84, intensity 16
1.323 Å, 2θ 71.26, intensity 31
1.260 Å, 2θ 75.46, intensity 11
1.166 Å, 2θ 82.75, intensity 10
1.108 Å, 2θ 88.13, intensity 8

(5)
Cd6Ag8Ge: computed powder X-ray diffraction pattern (copper Kα), based on the PBE geometry in Alexandria.
Intensities are scaled so that the largest is 100.

Atomic structure:
Cell: 7.457 7.457 7.457 Å, 60.90 60.90 60.90°
Atoms (fractional coordinates):
Cd 0.034 0.561 0.733
Cd 0.267 0.966 0.439
Cd 0.439 0.267 0.966
Cd 0.561 0.733 0.034
Cd 0.733 0.034 0.561
Cd 0.966 0.439 0.267
Ag 0.099 0.817 0.271
Ag 0.183 0.729 0.901
Ag 0.271 0.099 0.817
Ag 0.349 0.349 0.349
Ag 0.651 0.651 0.651
Ag 0.729 0.901 0.183
Ag 0.817 0.271 0.099
Ag 0.901 0.183 0.729
Ge 0.500 0.500 0.500

Largest 12 diffraction maxima, low angle first, 10° ≤ 2θ ≤ 90°:
3.023 Å, 2θ 29.54, intensity 12
2.451 Å, 2θ 36.66, intensity 100
2.430 Å, 2θ 36.99, intensity 15
2.410 Å, 2θ 37.32, intensity 32
2.387 Å, 2θ 37.69, intensity 28
2.361 Å, 2θ 38.12, intensity 54
2.172 Å, 2θ 41.58, intensity 14
2.044 Å, 2θ 44.31, intensity 29
1.487 Å, 2θ 62.46, intensity 13
1.428 Å, 2θ 65.32, intensity 22
1.384 Å, 2θ 67.72, intensity 12
1.234 Å, 2θ 77.31, intensity 10

(6)
Cd6Ag12Ge: computed powder X-ray diffraction pattern (copper Kα), based on the PBE geometry in Alexandria.
Intensities are scaled so that the largest is 100.

Atomic structure:
Cell: 7.178 7.178 7.178 Å, 91.50 91.50 91.50°
Atoms (fractional coordinates):
Cd 0.218 0.385 0.776
Cd 0.224 0.782 0.615
Cd 0.385 0.776 0.218
Cd 0.615 0.224 0.782
Cd 0.776 0.218 0.385
Cd 0.782 0.615 0.224
Ag 0.034 0.947 0.291
Ag 0.053 0.709 0.966
Ag 0.131 0.457 0.350
Ag 0.291 0.034 0.947
Ag 0.350 0.131 0.457
Ag 0.457 0.350 0.131
Ag 0.543 0.650 0.869
Ag 0.650 0.869 0.543
Ag 0.709 0.966 0.053
Ag 0.869 0.543 0.650
Ag 0.947 0.291 0.034
Ag 0.966 0.053 0.709
Ge 0.500 0.500 0.500

Largest 12 diffraction maxima, low angle first, 10° ≤ 2θ ≤ 90°:
3.174 Å, 2θ 28.11, intensity 16
2.420 Å, 2θ 37.15, intensity 100
2.391 Å, 2θ 37.62, intensity 41
2.336 Å, 2θ 38.54, intensity 41
2.287 Å, 2θ 39.40, intensity 57
2.250 Å, 2θ 40.07, intensity 51
2.168 Å, 2θ 41.66, intensity 15
1.693 Å, 2θ 54.17, intensity 10
1.622 Å, 2θ 56.78, intensity 10
1.587 Å, 2θ 58.14, intensity 11
1.426 Å, 2θ 65.45, intensity 10
1.345 Å, 2θ 69.97, intensity 17

Question: Which formula does entry 6 have?
Answer: Cd6Ag12Ge